Theoretical powder diffraction line list of Ti2H2Pb for Cu Kα (weighted mean of Kα1 and Kα2), from a cell relaxed with GGA-PBE.
Lines closer than 0.1° are merged.

Principal peaks in the range 10° ≤ 2θ ≤ 90°, in order of rising 2θ:
| 2theta | I (rel.) |
| --- | --- |
| 19.04 | 690 |
| 30.23 | 1000 |
| 32.94 | 424 |
| 33.47 | 372 |
| 38.79 | 836 |
| 57.84 | 311 |

Crystal structure
Lattice parameters (Å, degrees): 6.0624 6.0624 6.0624 127.59 127.59 77.29
Atoms (fractional coordinates):
Ti  0.2430  0.0000  0.2430
Ti  0.7500  0.0070  0.2570
Ti  0.7500  0.4930  0.7430
Ti  0.7570  0.0000  0.7570
H  0.4597  0.1985  0.2612
H  0.9373  0.1985  0.7388
H  0.9485  0.1873  0.2388
H  0.9485  0.7097  0.7612
Pb  0.2054  0.7054  0.5000
Pb  0.4554  0.4554  0.0000